Diffraction record for BHBr. The XRD peak list is simulated, not measured: it uses a GGA-PBE-relaxed structure and Cu Kα X-rays.
Neutral-atom scattering factors, no anomalous dispersion.

Main lines, in order of rising 2θ (10 to 80 degrees two-theta):
two_theta, I_rel, (hkl)
16.20, 52, 1 0 0
21.10, 100, 1 1 0
27.06, 19, 0 2 0
31.50, 18, 2 1 -1
31.77, 76, 1 2 -1
33.11, 20, 2 0 -2
35.52, 21, 2 1 0
35.78, 30, 0 1 2
46.31, 17, 3 1 -2
50.67, 23, 2 3 -1

```
data_BHBr
_space_group_name_H-M_alt 'P 1 21/c 1'
_space_group_IT_number 14
_space_group_name_Hall '-P 2ybc'
_cell_length_a 6.2893
_cell_length_b 6.5898
_cell_length_c 6.2389
_cell_angle_alpha 90.00
_cell_angle_beta 119.52
_cell_angle_gamma 90.00
loop_
_atom_site_label
_atom_site_type_symbol
_atom_site_fract_x
_atom_site_fract_y
_atom_site_fract_z
_atom_site_occupancy
B1 B 0.0248 0.1228 0.4772 1
H1 H 0.2206 0.2018 0.5559 1
Br1 Br 0.1760 0.6806 0.4029 1
```

Diffraction record for K3B12H12Br. The XRD peak list is simulated, not measured: it uses a GGA-PBE-relaxed structure and Cu Kα X-rays.
Neutral-atom scattering factors, no anomalous dispersion.

Main lines, in order of rising 2θ (10 to 80 degrees two-theta):
two_theta, I_rel, (hkl)
17.66, 48, 1 1 0
18.80, 34, 0 1 2
25.90, 100, 2 0 2
28.29, 62, 2 1 1
29.75, 66, 1 1 3
35.77, 39, 2 2 0
38.14, 76, 0 2 4
39.29, 32, 3 0 3
58.51, 26, 4 2 2
65.83, 19, 2 4 4

```
data_K3B12H12Br
_space_group_name_H-M_alt 'R -3 m'
_space_group_IT_number 166
_space_group_name_Hall '-R 3 2"'
_cell_length_a 10.0416
_cell_length_b 10.0416
_cell_length_c 11.2438
_cell_angle_alpha 90.00
_cell_angle_beta 90.00
_cell_angle_gamma 120.00
loop_
_atom_site_label
_atom_site_type_symbol
_atom_site_fract_x
_atom_site_fract_y
_atom_site_fract_z
_atom_site_occupancy
K1 K 0.0000 0.5000 0.0000 1
B1 B 0.0588 0.1176 0.8805 1
B2 B 0.0955 0.1910 0.0284 1
H1 H 0.0065 0.5033 0.7169 1
H2 H 0.1004 0.2008 0.7953 1
Br1 Br 0.0000 0.0000 0.5000 1
```

Diffraction record for Ho7BBr12. The XRD peak list is simulated, not measured: it uses a GGA-PBE-relaxed structure and Cu Kα X-rays.
Neutral-atom scattering factors, no anomalous dispersion.

Main lines, in order of rising 2θ (10 to 80 degrees two-theta):
two_theta, I_rel, (hkl)
11.49, 12, 1 0 1
12.20, 38, 1 1 0
30.15, 17, 1 1 3
31.57, 100, 4 -1 2
45.06, 34, 5 2 0
45.43, 34, 1 3 4
56.06, 16, 2 6 2
65.91, 11, 8 -2 4
74.65, 13, 9 1 2
75.19, 12, 5 2 6

```
data_Ho7BBr12
_space_group_name_H-M_alt 'R -3'
_space_group_IT_number 148
_space_group_name_Hall '-R 3'
_cell_length_a 14.5073
_cell_length_b 14.5073
_cell_length_c 9.7439
_cell_angle_alpha 90.00
_cell_angle_beta 90.00
_cell_angle_gamma 120.00
loop_
_atom_site_label
_atom_site_type_symbol
_atom_site_fract_x
_atom_site_fract_y
_atom_site_fract_z
_atom_site_occupancy
Ho1 Ho 0.0000 0.0000 0.0000 1
Ho2 Ho 0.0439 0.8847 0.3519 1
B1 B 0.0000 0.0000 0.5000 1
Br1 Br 0.0234 0.4374 0.1636 1
Br2 Br 0.0507 0.8685 0.8384 1
```

Diffraction record for BIBr3. The XRD peak list is simulated, not measured: it uses a GGA-PBE-relaxed structure and Cu Kα X-rays.
Neutral-atom scattering factors, no anomalous dispersion.

Main lines, in order of rising 2θ (10 to 80 degrees two-theta):
two_theta, I_rel, (hkl)
15.01, 100, 2 0 -2
19.79, 38, 2 0 0
20.83, 36, 0 1 2
21.69, 68, 2 0 -4
22.10, 59, 1 0 2
26.88, 44, 1 1 2
27.70, 68, 3 1 -2
30.49, 60, 0 2 0
32.38, 34, 4 0 -2
39.50, 41, 1 1 4

```
data_BIBr3
_space_group_name_H-M_alt 'P 1 21/c 1'
_space_group_IT_number 14
_space_group_name_Hall '-P 2ybc'
_cell_length_a 11.8572
_cell_length_b 5.8643
_cell_length_c 16.4097
_cell_angle_alpha 90.00
_cell_angle_beta 130.82
_cell_angle_gamma 90.00
loop_
_atom_site_label
_atom_site_type_symbol
_atom_site_fract_x
_atom_site_fract_y
_atom_site_fract_z
_atom_site_occupancy
B1 B 0.1125 0.1180 0.1045 1
I1 I 0.4540 0.7274 0.4744 1
Br1 Br 0.0645 0.7329 0.5597 1
Br2 Br 0.0682 0.1995 0.1959 1
Br3 Br 0.3066 0.2001 0.1526 1
```

Diffraction record for InB3Br. The XRD peak list is simulated, not measured: it uses a GGA-PBE-relaxed structure and Cu Kα X-rays.
Neutral-atom scattering factors, no anomalous dispersion.

Main lines, in order of rising 2θ (10 to 80 degrees two-theta):
two_theta, I_rel, (hkl)
19.09, 6, 1 0 0
27.12, 100, 1 1 0
38.73, 26, 2 0 0
43.52, 3, 2 1 0
47.92, 42, 2 1 1
55.93, 17, 2 2 0
59.65, 1, 3 0 0
63.24, 18, 3 1 0
70.10, 6, 2 2 2
76.68, 20, 3 2 1

```
data_InB3Br
_space_group_name_H-M_alt 'P m -3 m'
_space_group_IT_number 221
_space_group_name_Hall '-P 4 2 3'
_cell_length_a 4.6499
_cell_length_b 4.6499
_cell_length_c 4.6499
_cell_angle_alpha 90.00
_cell_angle_beta 90.00
_cell_angle_gamma 90.00
loop_
_atom_site_label
_atom_site_type_symbol
_atom_site_fract_x
_atom_site_fract_y
_atom_site_fract_z
_atom_site_occupancy
In1 In 0.0000 0.0000 0.0000 1
B1 B 0.0000 0.0000 0.5000 1
Br1 Br 0.5000 0.5000 0.5000 1
```

Diffraction record for La4B4Br5. The XRD peak list is simulated, not measured: it uses a GGA-PBE-relaxed structure and Cu Kα X-rays.
Neutral-atom scattering factors, no anomalous dispersion.

Main lines, in order of rising 2θ (10 to 80 degrees two-theta):
two_theta, I_rel, (hkl)
15.35, 18, 2 0 2
19.46, 17, 4 0 -2
27.28, 100, 1 1 -4
30.11, 31, 6 0 0
32.62, 17, 5 1 0
35.80, 21, 2 0 -8
40.90, 22, 7 1 -4
41.25, 27, 5 1 4
41.92, 17, 0 2 0
52.48, 12, 6 2 0

```
data_La4B4Br5
_space_group_name_H-M_alt 'C 1 2/m 1'
_space_group_IT_number 12
_space_group_name_Hall '-C 2y'
_cell_length_a 18.5601
_cell_length_b 4.3102
_cell_length_c 20.0689
_cell_angle_alpha 90.00
_cell_angle_beta 106.40
_cell_angle_gamma 90.00
loop_
_atom_site_label
_atom_site_type_symbol
_atom_site_fract_x
_atom_site_fract_y
_atom_site_fract_z
_atom_site_occupancy
La1 La 0.9998 0.0000 0.1233 1
La2 La 0.0088 0.0000 0.3790 1
La3 La 0.1352 0.5000 0.7845 1
La4 La 0.1440 0.5000 0.2867 1
B1 B 0.0044 0.1849 0.2512 1
B2 B 0.0036 0.5000 0.2022 1
B3 B 0.0052 0.5000 0.3002 1
Br1 Br 0.0000 0.5000 0.0000 1
Br2 Br 0.0000 0.5000 0.5000 1
Br3 Br 0.1687 0.0000 0.6816 1
Br4 Br 0.1724 0.0000 0.9005 1
Br5 Br 0.1773 0.0000 0.1836 1
Br6 Br 0.1810 0.0000 0.4028 1
```

Diffraction record for Rb2LaBBr6. The XRD peak list is simulated, not measured: it uses a GGA-PBE-relaxed structure and Cu Kα X-rays.
Neutral-atom scattering factors, no anomalous dispersion.

Main lines, in order of rising 2θ (10 to 80 degrees two-theta):
two_theta, I_rel, (hkl)
13.53, 16, 1 1 1
15.63, 17, 2 0 0
22.18, 18, 2 2 0
26.07, 18, 3 1 1
27.25, 81, 2 2 2
31.57, 100, 4 0 0
45.25, 71, 4 4 0
53.62, 34, 6 2 2
56.21, 24, 4 4 4
74.92, 31, 8 4 0

```
data_Rb2LaBBr6
_space_group_name_H-M_alt 'F m -3 m'
_space_group_IT_number 225
_space_group_name_Hall '-F 4 2 3'
_cell_length_a 11.3368
_cell_length_b 11.3368
_cell_length_c 11.3368
_cell_angle_alpha 90.00
_cell_angle_beta 90.00
_cell_angle_gamma 90.00
loop_
_atom_site_label
_atom_site_type_symbol
_atom_site_fract_x
_atom_site_fract_y
_atom_site_fract_z
_atom_site_occupancy
Rb1 Rb 0.2500 0.2500 0.2500 1
La1 La 0.0000 0.0000 0.0000 1
B1 B 0.0000 0.0000 0.5000 1
Br1 Br 0.0000 0.0000 0.2579 1
```

Diffraction record for SrMg2BBr. The XRD peak list is simulated, not measured: it uses a GGA-PBE-relaxed structure and Cu Kα X-rays.
Neutral-atom scattering factors, no anomalous dispersion.

Main lines, in order of rising 2θ (10 to 80 degrees two-theta):
two_theta, I_rel, (hkl)
18.78, 46, 1 1 0
21.94, 100, 1 0 1
26.68, 64, 2 0 0
34.80, 62, 2 1 1
35.23, 15, 0 0 2
38.09, 24, 2 2 0
44.39, 16, 3 0 1
44.74, 30, 2 0 2
52.54, 19, 3 2 1
52.85, 18, 2 2 2

```
data_SrMg2BBr
_space_group_name_H-M_alt 'P 4/m m m'
_space_group_IT_number 123
_space_group_name_Hall '-P 4 2'
_cell_length_a 6.6825
_cell_length_b 6.6825
_cell_length_c 5.0947
_cell_angle_alpha 90.00
_cell_angle_beta 90.00
_cell_angle_gamma 90.00
loop_
_atom_site_label
_atom_site_type_symbol
_atom_site_fract_x
_atom_site_fract_y
_atom_site_fract_z
_atom_site_occupancy
Sr1 Sr 0.0000 0.0000 0.0000 1
Mg1 Mg 0.0000 0.5000 0.0000 1
B1 B 0.0000 0.0000 0.5000 1
Br1 Br 0.5000 0.5000 0.5000 1
```

Diffraction record for ScMnBBr2. The XRD peak list is simulated, not measured: it uses a GGA-PBE-relaxed structure and Cu Kα X-rays.
Neutral-atom scattering factors, no anomalous dispersion.

Main lines, in order of rising 2θ (10 to 80 degrees two-theta):
two_theta, I_rel, (hkl)
23.01, 55, 0 0 1
28.88, 39, 1 0 1
33.82, 75, 1 1 1
34.83, 100, 2 0 0
42.16, 44, 2 0 1
47.03, 20, 0 0 2
50.08, 34, 2 2 0
59.84, 38, 2 0 2
61.80, 25, 3 1 1
71.14, 22, 2 2 2

```
data_ScMnBBr2
_space_group_name_H-M_alt 'P 4/m m m'
_space_group_IT_number 123
_space_group_name_Hall '-P 4 2'
_cell_length_a 5.1515
_cell_length_b 5.1515
_cell_length_c 3.8644
_cell_angle_alpha 90.00
_cell_angle_beta 90.00
_cell_angle_gamma 90.00
loop_
_atom_site_label
_atom_site_type_symbol
_atom_site_fract_x
_atom_site_fract_y
_atom_site_fract_z
_atom_site_occupancy
Sc1 Sc 0.0000 0.0000 0.0000 1
Mn1 Mn 0.5000 0.5000 0.5000 1
B1 B 0.5000 0.5000 0.0000 1
Br1 Br 0.0000 0.5000 0.5000 1
```